[1]
The following is a calculated X-ray diffraction stick pattern of Cs2KClF. It was derived from a structure optimized by DFT (PBE), using Cu Kα, 1.54184 Å.

Unit cell a=6.329 b=6.329 c=5.201 alpha=90.00 beta=90.00 gamma=90.00
Space group P4/mmm (No. 123)
Asymmetric unit:
Cs: 0.000 0.500 0.000 [2 per cell]
K: 0.000 0.000 0.500 [1 per cell]
Cl: 0.500 0.500 0.500 [1 per cell]
F: 0.000 0.000 0.000 [1 per cell]

Principal peaks in the range 15 to 90 degrees two-theta, in order of falling intensity:
hkl	Position (°2θ)	Rel. int.
1 1 1	26.27	100
2 0 0	28.20	53
3 1 1	48.76	35
2 0 2	45.13	28
0 0 1	17.05	27
1 1 0	19.84	24
2 0 1	33.14	22
2 2 0	40.31	19



[2]
The following is a calculated X-ray diffraction stick pattern of CsKClF. It was derived from a structure optimized by DFT (PBE), using Cu Kα, 1.54184 Å.

Unit cell a=5.2775 b=5.2775 c=33.7449 alpha=90.00 beta=90.00 gamma=120.00
Space group R-3m (No. 166, hexagonal axes)
Asymmetric unit:
Cs: 0.0000 0.0000 0.1233 [6 per cell]
K: 0.0000 0.0000 0.2865 [6 per cell]
Cl: 0.0000 0.0000 0.3812 [6 per cell]
F: 0.0000 0.0000 0.2091 [6 per cell]

Principal peaks in the range 15 to 90 degrees two-theta, in order of falling intensity:
hkl	Position (°2θ)	Rel. int.
1 0 4	22.12	100
1 1 0	33.97	99
1 1 12	47.24	68
0 1 8	28.80	62
0 0 12	31.82	37
0 1 5	23.51	35
1 0 1	19.60	28
1 0 7	26.88	28